Record 1
Structure and simulated powder diffraction line list of Tb7Ho4Zr (DFT lattice parameters and positions (GGA-PBE); Cu Kα).
Neutral-atom scattering factors, no anomalous dispersion.

Principal peaks in the range 10 to 90 degrees two-theta, in order of rising 2θ:
29.31 deg, rel. 32
29.95 deg, rel. 21
31.65 deg, rel. 49
32.39 deg, rel. 100
34.11 deg, rel. 81
51.57 deg, rel. 37
55.70 deg, rel. 23
61.81 deg, rel. 29

Structure:
Cell: 6.133 7.096 8.724 Å, 89.99 76.44 89.97°
Element x y z (fractional)
Tb  0.000  0.000  0.000
Tb  0.226  0.000  0.337
Tb  0.274  0.744  0.672
Tb  0.500  0.258  0.000
Tb  0.500  0.742  0.000
Tb  0.726  0.256  0.328
Tb  0.774  0.000  0.663
Ho  0.216  0.500  0.327
Ho  0.274  0.256  0.672
Ho  0.726  0.744  0.328
Ho  0.784  0.500  0.673
Zr  0.000  0.500  0.000

Record 2
Structure and simulated powder diffraction line list of Tb10Ho4Zr (DFT lattice parameters and positions (GGA-PBE); Cu Kα).
Neutral-atom scattering factors, no anomalous dispersion.

Principal peaks in the range 10 to 90 degrees two-theta, in order of rising 2θ:
25.20 deg, rel. 29
28.06 deg, rel. 65
31.08 deg, rel. 39
32.03 deg, rel. 100
32.40 deg, rel. 98
34.38 deg, rel. 35
41.48 deg, rel. 45
68.37 deg, rel. 30

Structure:
Cell: 8.798 8.798 8.798 Å, 101.13 101.13 127.86°
Element x y z (fractional)
Tb  0.004  0.213  0.791
Tb  0.213  0.004  0.791
Tb  0.213  0.421  0.209
Tb  0.250  0.750  0.500
Tb  0.421  0.213  0.209
Tb  0.579  0.787  0.791
Tb  0.750  0.250  0.500
Tb  0.787  0.579  0.791
Tb  0.787  0.996  0.209
Tb  0.996  0.787  0.209
Ho  0.272  0.272  0.543
Ho  0.272  0.728  0.000
Ho  0.728  0.272  0.000
Ho  0.728  0.728  0.457
Zr  0.500  0.500  0.000

Record 3
Structure and simulated powder diffraction line list of Ho3Tc (DFT lattice parameters and positions (GGA-PBE); Cu Kα).
Neutral-atom scattering factors, no anomalous dispersion.

Principal peaks in the range 10 to 90 degrees two-theta, in order of rising 2θ:
23.96 deg, rel. 26
30.56 deg, rel. 70
32.69 deg, rel. 75
35.11 deg, rel. 100
35.38 deg, rel. 95
42.96 deg, rel. 23
59.92 deg, rel. 21
60.10 deg, rel. 21

Structure:
Cell: 9.146 7.917 5.998 Å, 80.91 58.73 40.36°
Element x y z (fractional)
Ho  0.180  0.180  0.820
Ho  0.228  0.553  0.447
Ho  0.447  0.772  0.228
Ho  0.553  0.228  0.772
Ho  0.772  0.447  0.553
Ho  0.820  0.820  0.180
Tc  0.117  0.883  0.117
Tc  0.883  0.117  0.883

Record 4
Structure and simulated powder diffraction line list of HoTh4Tc2 (DFT lattice parameters and positions (GGA-PBE); Cu Kα).
Neutral-atom scattering factors, no anomalous dispersion.

Principal peaks in the range 10 to 90 degrees two-theta, in order of rising 2θ:
29.59 deg, rel. 96
30.20 deg, rel. 59
30.41 deg, rel. 64
31.24 deg, rel. 100
33.84 deg, rel. 48
34.15 deg, rel. 100
35.47 deg, rel. 93
36.57 deg, rel. 68

Structure:
Cell: 7.882 6.633 7.913 Å, 90.00 112.26 90.00°
Element x y z (fractional)
Ho  0.167  0.250  0.029
Ho  0.833  0.750  0.971
Th  0.025  0.250  0.383
Th  0.228  0.750  0.316
Th  0.404  0.002  0.757
Th  0.404  0.498  0.757
Th  0.596  0.502  0.243
Th  0.596  0.998  0.243
Th  0.772  0.250  0.684
Th  0.975  0.750  0.617
Tc  0.244  0.750  0.984
Tc  0.379  0.250  0.426
Tc  0.621  0.750  0.574
Tc  0.756  0.250  0.016

Record 5
Structure and simulated powder diffraction line list of HoTlTc (DFT lattice parameters and positions (GGA-PBE); Cu Kα).
Neutral-atom scattering factors, no anomalous dispersion.

Principal peaks in the range 10 to 90 degrees two-theta, in order of rising 2θ:
30.90 deg, rel. 43
34.37 deg, rel. 22
34.60 deg, rel. 100
39.46 deg, rel. 51
53.31 deg, rel. 26
57.04 deg, rel. 23
63.96 deg, rel. 16
68.45 deg, rel. 28

Structure:
Cell: 3.230 3.230 13.045 Å, 90.00 90.00 90.00°
Element x y z (fractional)
Ho  0.250  0.250  0.204
Ho  0.750  0.750  0.796
Tl  0.250  0.250  0.597
Tl  0.750  0.750  0.403
Tc  0.250  0.250  0.948
Tc  0.750  0.750  0.052

Record 6
Structure and simulated powder diffraction line list of Ho5TlTc (DFT lattice parameters and positions (GGA-PBE); Cu Kα).
Neutral-atom scattering factors, no anomalous dispersion.

Principal peaks in the range 10 to 90 degrees two-theta, in order of rising 2θ:
28.80 deg, rel. 41
30.71 deg, rel. 59
30.90 deg, rel. 78
31.31 deg, rel. 98
32.27 deg, rel. 100
33.88 deg, rel. 60
37.74 deg, rel. 30
53.57 deg, rel. 25

Structure:
Cell: 5.950 5.950 11.809 Å, 102.89 102.89 77.17°
Element x y z (fractional)
Ho  0.008  0.992  0.750
Ho  0.080  0.415  0.625
Ho  0.206  0.545  0.938
Ho  0.415  0.080  0.125
Ho  0.455  0.794  0.562
Ho  0.545  0.206  0.438
Ho  0.585  0.920  0.875
Ho  0.794  0.455  0.062
Ho  0.920  0.585  0.375
Ho  0.992  0.008  0.250
Tl  0.405  0.595  0.250
Tl  0.595  0.405  0.750
Tc  0.000  0.000  0.000
Tc  0.000  0.000  0.500

Record 7
Structure and simulated powder diffraction line list of Ho3TlTc (DFT lattice parameters and positions (GGA-PBE); Cu Kα).
Neutral-atom scattering factors, no anomalous dispersion.

Principal peaks in the range 10 to 90 degrees two-theta, in order of rising 2θ:
28.73 deg, rel. 57
31.30 deg, rel. 66
32.14 deg, rel. 61
34.69 deg, rel. 100
35.08 deg, rel. 99
38.17 deg, rel. 39
53.12 deg, rel. 27
57.09 deg, rel. 29

Structure:
Cell: 9.436 8.743 5.866 Å, 77.73 64.87 37.40°
Element x y z (fractional)
Ho  0.198  0.576  0.424
Ho  0.200  0.200  0.800
Ho  0.424  0.802  0.198
Ho  0.576  0.198  0.802
Ho  0.800  0.800  0.200
Ho  0.802  0.424  0.576
Tl  0.215  0.785  0.785
Tl  0.785  0.215  0.215
Tc  0.250  0.250  0.250
Tc  0.750  0.750  0.750

Record 8
Structure and simulated powder diffraction line list of Ho5Tm4Tc2 (DFT lattice parameters and positions (GGA-PBE); Cu Kα).
Neutral-atom scattering factors, no anomalous dispersion.

Principal peaks in the range 10 to 90 degrees two-theta, in order of rising 2θ:
28.38 deg, rel. 25
32.11 deg, rel. 22
32.45 deg, rel. 100
33.07 deg, rel. 28
33.41 deg, rel. 32
34.38 deg, rel. 25
36.19 deg, rel. 36
37.20 deg, rel. 21

Structure:
Cell: 8.276 3.585 10.323 Å, 90.00 91.60 90.00°
Element x y z (fractional)
Ho  0.000  0.000  0.000
Ho  0.063  0.000  0.341
Ho  0.341  0.000  0.844
Ho  0.659  0.000  0.156
Ho  0.937  0.000  0.659
Tm  0.317  0.500  0.145
Tm  0.318  0.500  0.551
Tm  0.682  0.500  0.449
Tm  0.683  0.500  0.855
Tc  0.418  0.000  0.344
Tc  0.582  0.000  0.656

Record 9
Structure and simulated powder diffraction line list of HoTm2Tc (DFT lattice parameters and positions (GGA-PBE); Cu Kα).
Neutral-atom scattering factors, no anomalous dispersion.

Principal peaks in the range 10 to 90 degrees two-theta, in order of rising 2θ:
29.78 deg, rel. 53
31.21 deg, rel. 77
31.48 deg, rel. 71
33.06 deg, rel. 100
33.25 deg, rel. 90
34.53 deg, rel. 80
35.42 deg, rel. 100
39.18 deg, rel. 53

Structure:
Cell: 7.437 8.993 6.151 Å, 90.00 90.00 90.00°
Element x y z (fractional)
Ho  0.040  0.250  0.125
Ho  0.460  0.750  0.625
Ho  0.540  0.250  0.375
Ho  0.960  0.750  0.875
Tm  0.176  0.063  0.654
Tm  0.176  0.437  0.654
Tm  0.324  0.563  0.154
Tm  0.324  0.937  0.154
Tm  0.676  0.063  0.846
Tm  0.676  0.437  0.846
Tm  0.824  0.563  0.346
Tm  0.824  0.937  0.346
Tc  0.117  0.750  0.454
Tc  0.383  0.250  0.954
Tc  0.617  0.750  0.046
Tc  0.883  0.250  0.546

Record 10
Structure and simulated powder diffraction line list of Ho3Tm6Tc (DFT lattice parameters and positions (GGA-PBE); Cu Kα).
Neutral-atom scattering factors, no anomalous dispersion.

Principal peaks in the range 10 to 90 degrees two-theta, in order of rising 2θ:
29.83 deg, rel. 68
30.85 deg, rel. 33
31.12 deg, rel. 100
31.52 deg, rel. 46
32.57 deg, rel. 98
34.89 deg, rel. 77
36.98 deg, rel. 30
51.76 deg, rel. 23

Structure:
Cell: 10.211 11.056 5.143 Å, 90.00 90.00 90.00°
Element x y z (fractional)
Ho  0.000  0.000  0.000
Ho  0.104  0.210  0.500
Ho  0.396  0.710  0.000
Ho  0.500  0.500  0.500
Ho  0.604  0.290  0.000
Ho  0.896  0.790  0.500
Tm  0.083  0.727  0.000
Tm  0.151  0.552  0.500
Tm  0.242  0.880  0.500
Tm  0.258  0.380  0.000
Tm  0.349  0.052  0.000
Tm  0.417  0.227  0.500
Tm  0.583  0.773  0.500
Tm  0.651  0.948  0.000
Tm  0.742  0.620  0.000
Tm  0.758  0.120  0.500
Tm  0.849  0.448  0.500
Tm  0.917  0.273  0.000
Tc  0.000  0.500  0.000
Tc  0.500  0.000  0.500

Record 11
Structure and simulated powder diffraction line list of Ho2TmTc (DFT lattice parameters and positions (GGA-PBE); Cu Kα).
Neutral-atom scattering factors, no anomalous dispersion.

Principal peaks in the range 10 to 90 degrees two-theta, in order of rising 2θ:
31.38 deg, rel. 94
32.51 deg, rel. 66
33.19 deg, rel. 100
34.01 deg, rel. 96
38.56 deg, rel. 48
47.26 deg, rel. 33
58.97 deg, rel. 39
61.01 deg, rel. 38

Structure:
Cell: 6.223 6.223 9.099 Å, 90.00 90.00 143.99°
Element x y z (fractional)
Ho  0.143  0.857  0.565
Ho  0.143  0.857  0.935
Ho  0.857  0.143  0.065
Ho  0.857  0.143  0.435
Tm  0.428  0.572  0.750
Tm  0.572  0.428  0.250
Tc  0.239  0.761  0.250
Tc  0.761  0.239  0.750

Record 12
Structure and simulated powder diffraction line list of YHoTc (DFT lattice parameters and positions (GGA-PBE); Cu Kα).
Neutral-atom scattering factors, no anomalous dispersion.

Principal peaks in the range 10 to 90 degrees two-theta, in order of rising 2θ:
14.63 deg, rel. 56
30.46 deg, rel. 57
31.71 deg, rel. 71
32.62 deg, rel. 88
35.36 deg, rel. 100
37.79 deg, rel. 55
38.45 deg, rel. 49
41.29 deg, rel. 49

Structure:
Cell: 6.923 6.923 7.768 Å, 90.00 90.00 122.04°
Element x y z (fractional)
Y  0.192  0.808  0.890
Y  0.308  0.692  0.390
Y  0.692  0.308  0.610
Y  0.808  0.192  0.110
Ho  0.200  0.300  0.750
Ho  0.300  0.200  0.250
Ho  0.700  0.800  0.750
Ho  0.800  0.700  0.250
Tc  0.098  0.902  0.543
Tc  0.402  0.598  0.043
Tc  0.598  0.402  0.957
Tc  0.902  0.098  0.457

Record 13
Structure and simulated powder diffraction line list of YHo3Tc8 (DFT lattice parameters and positions (GGA-PBE); Cu Kα).
Neutral-atom scattering factors, no anomalous dispersion.

Principal peaks in the range 10 to 90 degrees two-theta, in order of rising 2θ:
33.03 deg, rel. 41
33.20 deg, rel. 40
33.32 deg, rel. 40
38.92 deg, rel. 77
39.19 deg, rel. 100
39.30 deg, rel. 100
41.00 deg, rel. 65
63.48 deg, rel. 30

Structure:
Cell: 5.425 5.425 9.363 Å, 107.37 107.37 59.37°
Element x y z (fractional)
Y  0.000  0.000  0.000
Ho  0.125  0.125  0.375
Ho  0.498  0.498  0.500
Ho  0.623  0.623  0.875
Tc  0.050  0.050  0.678
Tc  0.062  0.554  0.691
Tc  0.069  0.562  0.184
Tc  0.311  0.311  0.937
Tc  0.554  0.062  0.691
Tc  0.562  0.069  0.184
Tc  0.573  0.573  0.197
Tc  0.812  0.812  0.438